# 1
Starting from a DFT-relaxed cell (GGA-PBE, OQMD), the XRD peak list of MoI3BrCl was simulated for Cu Kα X-rays.
No peak broadening, texture or thermal motion is included.

Cell and atoms:
```
data_MoI3BrCl
_symmetry_space_group_name_H-M 'P -1'
_symmetry_Int_Tables_number 2
_cell_length_a 6.9094
_cell_length_b 7.4919
_cell_length_c 10.0105
_cell_angle_alpha 109.83
_cell_angle_beta 90.69
_cell_angle_gamma 115.82
loop_
_symmetry_equiv_pos_as_xyz
'x,y,z'
'-x,-y,-z'
loop_
_atom_site_label
_atom_site_fract_x
_atom_site_fract_y
_atom_site_fract_z
Mo1 0.0996 0.2039 0.2041
I1 0.0765 0.8110 0.5649
I2 0.3112 0.9899 0.2382
I3 0.4522 0.5773 0.3305
Br1 0.1138 0.6345 0.8600
Cl1 0.2109 0.1589 0.9583
```

Main lines, by angle (2θ from 10° to 90°):
| two_theta | I/Imax | (hkl) |
| --- | --- | --- |
| 13.77 | 285 | 0 1 -1 |
| 15.81 | 289 | 1 0 -1 |
| 27.74 | 471 | 0 2 -2 |
| 29.01 | 275 | 2 0 -1 |
| 29.46 | 678 | 1 1 1 |
| 29.70 | 588 | 2 -2 1 |
| 29.92 | 1000 | 1 0 -3 |
| 30.10 | 293 | 1 -1 3 |
| 38.77 | 308 | 2 -3 2 |
| 45.99 | 252 | -3 2 2 |

=====

# 2
Starting from a DFT-relaxed cell (GGA-PBE, OQMD), the XRD peak list of NdErFe2Si2 was simulated for Cu Kα X-rays.
No peak broadening, texture or thermal motion is included.

Cell and atoms:
```
data_NdErFe2Si2
_symmetry_space_group_name_H-M 'P 4 m m'
_symmetry_Int_Tables_number 99
_cell_length_a 4.0361
_cell_length_b 4.0361
_cell_length_c 6.6262
_cell_angle_alpha 90.00
_cell_angle_beta 90.00
_cell_angle_gamma 90.00
loop_
_symmetry_equiv_pos_as_xyz
'x,y,z'
'-y,x,z'
'-x,-y,z'
'y,-x,z'
'-x,y,z'
'y,x,z'
'x,-y,z'
'-y,-x,z'
loop_
_atom_site_label
_atom_site_fract_x
_atom_site_fract_y
_atom_site_fract_z
Nd1 0.0000 0.0000 0.0000
Er1 0.5000 0.5000 0.3656
Fe1 0.0000 0.5000 0.6641
Si1 0.0000 0.0000 0.4932
Si2 0.5000 0.5000 0.8394
```

Main lines, by angle (2θ from 10° to 90°):
| two_theta | I/Imax | (hkl) |
| --- | --- | --- |
| 25.85 | 1000 | 1 0 1 |
| 31.34 | 356 | 1 1 0 |
| 34.21 | 437 | 1 1 1 |
| 35.04 | 662 | 1 0 2 |
| 41.77 | 663 | 1 1 2 |
| 44.92 | 498 | 2 0 0 |
| 52.55 | 297 | 2 1 1 |
| 58.20 | 305 | 2 1 2 |
| 60.40 | 226 | 1 0 4 |
| 78.34 | 214 | 2 1 4 |